# 1
Structure and calculated powder diffraction line list of AgPd6Au8 (DFT lattice parameters and positions (GGA-PBE); Cu Kα (λ = 1.5418 Å)).

Top 10 peaks for 10° ≤ 2θ ≤ 90°, by angle:
d [Å]	I_rel
4.240	14.1
3.849	13.3
3.152	46.0
2.236	100.0
2.222	100.0
2.120	14.2
1.576	29.0
1.286	25.5
1.283	13.8
1.168	20.4

Cell and atoms:
```
AgPd6Au8
1.0
7.6973 0.0000 0.0000
-3.8487 6.6661 0.0000
0.0000 0.0000 5.4940
Ag Pd Au
1 6 8
Direct
0.0000 0.0000 0.0000 Ag
0.0333 0.3591 0.8623 Pd
0.3258 0.9667 0.8623 Pd
0.3591 0.3258 0.1377 Pd
0.6409 0.6742 0.8623 Pd
0.6742 0.0333 0.1377 Pd
0.9667 0.6409 0.1377 Pd
0.0192 0.3306 0.3680 Au
0.3113 0.9808 0.3680 Au
0.3306 0.3113 0.6320 Au
0.3333 0.6667 0.1300 Au
0.6667 0.3333 0.8700 Au
0.6694 0.6887 0.3680 Au
0.6887 0.0192 0.6320 Au
0.9808 0.6694 0.6320 Au
```

=====

# 2
Structure and calculated powder diffraction line list of Ce12PuMg6 (DFT lattice parameters and positions (GGA-PBE); Cu Kα (λ = 1.5418 Å)).

Top 10 peaks for 10° ≤ 2θ ≤ 90°, by angle:
d [Å]	I_rel
8.189	66.4
6.092	58.9
2.790	60.1
2.765	87.7
2.724	68.5
2.717	48.7
2.701	45.3
2.674	100.0
2.590	67.3
2.518	62.2

Cell and atoms:
```
Ce12PuMg6
1.0
8.1658 0.0000 0.0000
4.0507 7.4353 0.0000
2.2864 0.2592 8.1885
Ce Pu Mg
12 1 6
Direct
0.0252 0.1835 0.0151 Ce
0.0524 0.5207 0.3281 Ce
0.1971 0.1548 0.2598 Ce
0.2296 0.4610 0.9110 Ce
0.3035 0.6072 0.4980 Ce
0.3517 0.6953 0.1686 Ce
0.6483 0.3047 0.8314 Ce
0.6965 0.3928 0.5020 Ce
0.7704 0.5390 0.0890 Ce
0.8029 0.8452 0.7402 Ce
0.9476 0.4793 0.6719 Ce
0.9748 0.8165 0.9849 Ce
0.5000 0.0000 0.0000 Pu
0.0929 0.0366 0.6359 Mg
0.4115 0.1671 0.6080 Mg
0.4392 0.7542 0.7651 Mg
0.5608 0.2458 0.2349 Mg
0.5885 0.8329 0.3920 Mg
0.9071 0.9634 0.3641 Mg
```

=====

# 3
Structure and calculated powder diffraction line list of LaMg4P (DFT lattice parameters and positions (GGA-PBE); Cu Kα (λ = 1.5418 Å)).

Top 10 peaks for 10° ≤ 2θ ≤ 90°, by angle:
d [Å]	I_rel
4.834	49.0
4.186	30.0
2.960	63.5
2.524	100.0
2.417	18.7
1.921	13.5
1.872	13.4
1.709	24.5
1.611	33.3
1.480	19.4

Cell and atoms:
```
LaMg4P
1.0
0.0000 4.1862 4.1862
4.1862 0.0000 4.1862
4.1862 4.1862 0.0000
La Mg P
1 4 1
Direct
0.0000 0.0000 0.0000 La
0.1282 0.6239 0.6239 Mg
0.6239 0.1282 0.6239 Mg
0.6239 0.6239 0.1282 Mg
0.6239 0.6239 0.6239 Mg
0.2500 0.2500 0.2500 P
```

=====

# 4
Structure and calculated powder diffraction line list of Mn5Se8 (DFT lattice parameters and positions (GGA-PBE); Cu Kα (λ = 1.5418 Å)).

Top 10 peaks for 10° ≤ 2θ ≤ 90°, by angle:
d [Å]	I_rel
6.061	26.9
3.165	21.5
3.031	52.9
2.625	100.0
2.020	21.0
1.856	86.9
1.583	21.3
1.515	21.5
1.312	12.3
1.174	25.3

Cell and atoms:
```
Mn5Se8
1.0
0.0000 5.2491 5.2491
5.2491 0.0000 5.2491
5.2491 5.2491 0.0000
Mn Se
5 8
Direct
0.0000 0.0000 0.0000 Mn
0.3821 0.3821 0.3821 Mn
0.3821 0.3821 0.8538 Mn
0.3821 0.8538 0.3821 Mn
0.8538 0.3821 0.3821 Mn
0.1356 0.1356 0.1356 Se
0.1356 0.1356 0.5931 Se
0.1356 0.5931 0.1356 Se
0.1397 0.6201 0.6201 Se
0.5931 0.1356 0.1356 Se
0.6201 0.1397 0.6201 Se
0.6201 0.6201 0.1397 Se
0.6201 0.6201 0.6201 Se
```

=====

# 5
Structure and calculated powder diffraction line list of CaRhI (DFT lattice parameters and positions (GGA-PBE); Cu Kα (λ = 1.5418 Å)).

Top 10 peaks for 10° ≤ 2θ ≤ 90°, by angle:
d [Å]	I_rel
6.524	23.9
4.394	26.3
4.115	84.4
3.003	100.0
2.860	26.6
2.705	38.1
2.260	56.4
2.197	41.0
2.057	26.6
1.923	37.5

Cell and atoms:
```
CaRhI
1.0
5.9442 0.0000 0.0000
0.0000 4.1145 0.0000
0.0000 0.0000 6.5238
Ca Rh I
2 2 2
Direct
0.2500 0.0000 0.2163 Ca
0.7500 0.0000 0.7837 Ca
0.0000 0.5000 0.0000 Rh
0.5000 0.5000 0.0000 Rh
0.2500 0.5000 0.6743 I
0.7500 0.5000 0.3257 I
```

=====

# 6
Structure and calculated powder diffraction line list of SmTmTeSe2 (DFT lattice parameters and positions (GGA-PBE); Cu Kα (λ = 1.5418 Å)).

Top 10 peaks for 10° ≤ 2θ ≤ 90°, by angle:
d [Å]	I_rel
3.303	100.0
3.284	24.1
2.977	24.0
2.410	13.1
2.403	28.7
2.322	42.9
1.911	26.6
1.900	41.9
1.642	14.7
1.470	13.7

Cell and atoms:
```
SmTmTeSe2
1.0
4.6445 0.0000 0.0000
0.0000 4.6445 0.0000
0.0000 0.0000 14.0962
Sm Tm Te Se
2 2 2 4
Direct
0.0000 0.0000 0.0000 Sm
0.5000 0.5000 0.5000 Sm
0.0000 0.0000 0.7207 Tm
0.5000 0.5000 0.2207 Tm
0.0000 0.0000 0.3668 Te
0.5000 0.5000 0.8668 Te
0.0000 0.5000 0.1178 Se
0.0000 0.5000 0.6178 Se
0.5000 0.0000 0.1178 Se
0.5000 0.0000 0.6178 Se
```

=====

# 7
Structure and calculated powder diffraction line list of Pa2Co5Si (DFT lattice parameters and positions (GGA-PBE); Cu Kα (λ = 1.5418 Å)).

Top 10 peaks for 10° ≤ 2θ ≤ 90°, by angle:
d [Å]	I_rel
3.908	48.8
2.763	15.3
2.740	54.9
2.244	100.0
1.954	35.9
1.921	16.1
1.724	13.4
1.591	20.4
1.370	19.7
1.176	22.0

Cell and atoms:
```
Pa2Co5Si
1.0
5.5268 0.0000 0.0000
0.0000 5.5268 0.0000
0.0000 0.0000 7.6860
Pa Co Si
4 10 2
Direct
0.0000 0.5000 0.0000 Pa
0.0000 0.5000 0.5000 Pa
0.5000 0.0000 0.0000 Pa
0.5000 0.0000 0.5000 Pa
0.0000 0.0000 0.0009 Co
0.2256 0.2256 0.7414 Co
0.2256 0.7744 0.7414 Co
0.2744 0.2744 0.2414 Co
0.2744 0.7256 0.2414 Co
0.5000 0.5000 0.5009 Co
0.7256 0.2744 0.2414 Co
0.7256 0.7256 0.2414 Co
0.7744 0.2256 0.7414 Co
0.7744 0.7744 0.7414 Co
0.0000 0.0000 0.3260 Si
0.5000 0.5000 0.8260 Si
```

=====

# 8
Structure and calculated powder diffraction line list of AcCe2Pm3S6 (DFT lattice parameters and positions (GGA-PBE); Cu Kα (λ = 1.5418 Å)).

Top 10 peaks for 10° ≤ 2θ ≤ 90°, by angle:
d [Å]	I_rel
3.334	60.1
3.326	19.9
2.886	100.0
2.043	36.6
2.038	36.2
1.741	20.1
1.738	16.7
1.665	19.0
1.443	11.7
1.289	16.1

Cell and atoms:
```
AcCe2Pm3S6
1.0
3.5281 -6.1156 0.0000
3.5281 6.1156 0.0000
-2.3654 0.0000 6.6830
Ac Ce Pm S
1 2 3 6
Direct
0.0000 0.0000 0.0000 Ac
0.3332 0.6668 0.0000 Ce
0.6668 0.3332 0.0000 Ce
0.1628 0.8372 0.5000 Pm
0.5000 0.5000 0.5000 Pm
0.8372 0.1628 0.5000 Pm
0.0860 0.4287 0.2578 S
0.2586 0.2586 0.7467 S
0.4287 0.0860 0.2578 S
0.5713 0.9140 0.7422 S
0.7414 0.7414 0.2533 S
0.9140 0.5713 0.7422 S
```